Entry 1:
HoCu9Sn2: theoretical powder diffractogram (Cu Ka), based on a cell relaxed with PBE.
Intensities are scaled so that the largest is 100.

The 10 most intense peaks (2θ = 15–90°), sorted by position:
- d = 2.738 Å, 2θ 32.7, I 36
- d = 2.532 Å, 2θ 35.4, I 46
- d = 2.513 Å, 2θ 35.7, I 38
- d = 2.184 Å, 2θ 41.3, I 39
- d = 2.159 Å, 2θ 41.8, I 14
- d = 2.153 Å, 2θ 42.0, I 100
- d = 2.044 Å, 2θ 44.3, I 15
- d = 2.002 Å, 2θ 45.3, I 18
- d = 1.377 Å, 2θ 68.1, I 23
- d = 1.266 Å, 2θ 75.0, I 23

Atomic structure:
Lattice parameters (Å, degrees): 8.683 8.683 8.683 33.91 33.91 33.91
Fractional positions:
1 Ho 0.000 0.000 0.000
2 Cu 0.081 0.584 0.584
3 Cu 0.334 0.334 0.334
4 Cu 0.416 0.416 0.919
5 Cu 0.416 0.919 0.416
6 Cu 0.500 0.500 0.500
7 Cu 0.584 0.081 0.584
8 Cu 0.584 0.584 0.081
9 Cu 0.666 0.666 0.666
10 Cu 0.919 0.416 0.416
11 Sn 0.138 0.138 0.138
12 Sn 0.862 0.862 0.862


Entry 2:
Mg2H5Ir3: theoretical powder diffractogram (Cu Ka), based on a cell relaxed with PBE.
Intensities are scaled so that the largest is 100.

The 10 most intense peaks (2θ = 15–90°), sorted by position:
- d = 4.738 Å, 2θ 18.7, I 36
- d = 3.476 Å, 2θ 25.6, I 53
- d = 2.492 Å, 2θ 36.0, I 100
- d = 2.369 Å, 2θ 38.0, I 26
- d = 2.318 Å, 2θ 38.9, I 41
- d = 2.269 Å, 2θ 39.7, I 69
- d = 2.158 Å, 2θ 41.9, I 34
- d = 2.142 Å, 2θ 42.2, I 77
- d = 2.088 Å, 2θ 43.3, I 28
- d = 1.369 Å, 2θ 68.5, I 23

Atomic structure:
Lattice parameters (Å, degrees): 2.948 4.779 7.165 97.31 101.87 90.01
Fractional positions:
1 Mg 0.000 0.000 0.000
2 Mg 0.179 0.571 0.360
3 H 0.194 0.103 0.393
4 H 0.440 0.182 0.880
5 H 0.583 0.810 0.168
6 H 0.598 0.316 0.198
7 H 0.769 0.902 0.542
8 Ir 0.313 0.157 0.628
9 Ir 0.509 0.507 0.020
10 Ir 0.840 0.634 0.683


Entry 3:
La6Ag2Pd: theoretical powder diffractogram (Cu Ka), based on a cell relaxed with PBE.
Intensities are scaled so that the largest is 100.

The 10 most intense peaks (2θ = 15–90°), sorted by position:
- d = 2.936 Å, 2θ 30.4, I 100
- d = 2.745 Å, 2θ 32.6, I 53
- d = 2.591 Å, 2θ 34.6, I 28
- d = 2.342 Å, 2θ 38.4, I 20
- d = 2.156 Å, 2θ 41.9, I 8
- d = 1.939 Å, 2θ 46.9, I 12
- d = 1.884 Å, 2θ 48.3, I 10
- d = 1.620 Å, 2θ 56.8, I 34
- d = 1.554 Å, 2θ 59.5, I 8
- d = 1.552 Å, 2θ 59.5, I 11

Atomic structure:
Lattice parameters (Å, degrees): 3.878 8.979 8.979 120.05 90.00 90.00
Fractional positions:
1 La 0.000 0.000 0.000
2 La 0.000 0.494 0.747
3 La 0.000 0.747 0.494
4 La 0.500 0.154 0.748
5 La 0.500 0.340 0.340
6 La 0.500 0.748 0.154
7 Ag 0.000 0.081 0.414
8 Ag 0.000 0.414 0.081
9 Pd 0.500 0.747 0.747